No. 1
Structure and computed X-ray powder pattern of Y3HgPt (DFT lattice parameters and positions (PBE); a wavelength of 1.5418 Å).
No peak broadening, texture or thermal motion is included.

Cell lengths 6.242, 5.429, 8.288 Å; angles 90.00, 90.00, 90.00 degrees
Space group Pmma (No. 51)
Unique sites:
Y  0.000  0.000  0.000 (multiplicity 2)
Y  0.250  0.000  0.367 (multiplicity 2)
Y  0.250  0.500  0.721 (multiplicity 2)
Hg  0.250  0.500  0.125 (multiplicity 2)
Pt  0.250  0.000  0.701 (multiplicity 2)

Largest 6 diffraction maxima, by intensity, 2θ from 5° to 70°:
| Position (°2θ) | I_rel | (hkl) |
| --- | --- | --- |
| 33.00 | 100.0 | 0 2 0 |
| 34.88 | 87.5 | 2 1 1 |
| 28.60 | 76.4 | 2 0 0 |
| 36.49 | 58.5 | 0 1 3 |
| 35.54 | 56.0 | 1 0 3 |
| 30.68 | 54.0 | 1 1 2 |

No. 2
Structure and computed X-ray powder pattern of Tb2DyNi6 (DFT lattice parameters and positions (PBE); a wavelength of 1.5418 Å).
No peak broadening, texture or thermal motion is included.

Cell lengths 6.9505, 6.9505, 3.7172 Å; angles 90.00, 90.00, 120.00 degrees
Space group P6/mmm (No. 191)
Unique sites:
Tb  0.3333  0.6667  0.0000 (multiplicity 2)
Dy  0.0000  0.0000  0.0000 (multiplicity 1)
Ni  0.0000  0.3331  0.5000 (multiplicity 6)

Largest 6 diffraction maxima, by intensity, 2θ from 5° to 70°:
| Position (°2θ) | I_rel | (hkl) |
| --- | --- | --- |
| 35.36 | 100.0 | 1 1 1 |
| 45.19 | 41.5 | 3 0 0 |
| 58.65 | 22.7 | 2 2 1 |
| 68.86 | 22.6 | 3 0 2 |
| 25.63 | 19.5 | 1 1 0 |
| 49.01 | 10.8 | 0 0 2 |

No. 3
Structure and computed X-ray powder pattern of PmSiGeIr2 (DFT lattice parameters and positions (PBE); a wavelength of 1.5418 Å).
No peak broadening, texture or thermal motion is included.

Cell lengths 4.152, 4.152, 6.518 Å; angles 90.00, 90.00, 90.00 degrees
Space group P4mm (No. 99)
Unique sites:
Pm  0.000  0.000  0.000 (multiplicity 1)
Si  0.000  0.000  0.542 (multiplicity 1)
Ge  0.500  0.500  0.145 (multiplicity 1)
Ir  0.000  0.500  0.361 (multiplicity 2)

Largest 6 diffraction maxima, by intensity, 2θ from 5° to 70°:
| Position (°2θ) | I_rel | (hkl) |
| --- | --- | --- |
| 13.59 | 100.0 | 0 0 1 |
| 33.48 | 85.4 | 1 1 1 |
| 41.39 | 55.5 | 1 1 2 |
| 43.60 | 36.6 | 2 0 0 |
| 45.87 | 19.7 | 2 0 1 |
| 27.37 | 14.2 | 0 0 2 |

No. 4
Structure and computed X-ray powder pattern of K2GaHgI6 (DFT lattice parameters and positions (PBE); a wavelength of 1.5418 Å).
No peak broadening, texture or thermal motion is included.

Cell lengths 11.858, 11.858, 11.858 Å; angles 90.00, 90.00, 90.00 degrees
Space group Fm-3m (No. 225)
Unique sites:
K  0.250  0.250  0.250 (multiplicity 8)
Ga  0.000  0.000  0.000 (multiplicity 4)
Hg  0.000  0.000  0.500 (multiplicity 4)
I  0.000  0.000  0.242 (multiplicity 24)

Largest 6 diffraction maxima, by intensity, 2θ from 5° to 70°:
| Position (°2θ) | I_rel | (hkl) |
| --- | --- | --- |
| 30.15 | 100.0 | 4 0 0 |
| 14.94 | 83.9 | 2 0 0 |
| 43.15 | 73.3 | 4 4 0 |
| 26.03 | 50.5 | 2 2 2 |
| 33.80 | 46.8 | 4 2 0 |
| 53.54 | 25.4 | 4 4 4 |

No. 5
Structure and computed X-ray powder pattern of Li4SbH2 (DFT lattice parameters and positions (PBE); a wavelength of 1.5418 Å).
No peak broadening, texture or thermal motion is included.

Cell lengths 5.038, 5.488, 8.048 Å; angles 95.35, 93.52, 106.33 degrees
Space group P1 (No. 1)
Unique sites:
Li  0.000  0.000  0.000 (multiplicity 1)
Li  0.000  0.079  0.624 (multiplicity 1)
Li  0.074  0.288  0.306 (multiplicity 1)
Li  0.091  0.568  0.584 (multiplicity 1)
Li  0.323  0.679  0.133 (multiplicity 1)
Li  0.474  0.045  0.464 (multiplicity 1)
Li  0.569  0.319  0.079 (multiplicity 1)
Li  0.593  0.545  0.573 (multiplicity 1)
Sb  0.475  0.922  0.813 (multiplicity 1)
Sb  0.870  0.756  0.303 (multiplicity 1)
H  0.208  0.323  0.101 (multiplicity 1)
H  0.266  0.323  0.514 (multiplicity 1)
H  0.325  0.616  0.880 (multiplicity 1)
H  0.780  0.309  0.609 (multiplicity 1)

Largest 6 diffraction maxima, by intensity, 2θ from 5° to 70°:
| Position (°2θ) | I_rel | (hkl) |
| --- | --- | --- |
| 16.95 | 100.0 | 0 1 0 |
| 20.65 | 79.8 | 1 0 -1 |
| 22.43 | 65.3 | 1 0 1 |
| 22.28 | 61.4 | 0 0 2 |
| 23.83 | 60.5 | 1 -1 1 |
| 24.08 | 59.5 | -1 1 1 |

No. 6
Structure and computed X-ray powder pattern of Ce6YS8 (DFT lattice parameters and positions (PBE); a wavelength of 1.5418 Å).
No peak broadening, texture or thermal motion is included.

Cell lengths 11.359, 11.359, 11.359 Å; angles 90.00, 90.00, 90.00 degrees
Space group Fm-3m (No. 225)
Unique sites:
Ce  0.000  0.250  0.250 (multiplicity 24)
Y  0.000  0.000  0.000 (multiplicity 4)
S  0.000  0.000  0.245 (multiplicity 24)
S  0.250  0.250  0.250 (multiplicity 8)

Largest 6 diffraction maxima, by intensity, 2θ from 5° to 70°:
| Position (°2θ) | I_rel | (hkl) |
| --- | --- | --- |
| 31.50 | 100.0 | 4 0 0 |
| 45.15 | 71.5 | 4 4 0 |
| 27.20 | 58.0 | 2 2 2 |
| 53.51 | 29.0 | 6 2 2 |
| 56.10 | 24.6 | 4 4 4 |
| 15.60 | 13.3 | 2 0 0 |

No. 7
Structure and computed X-ray powder pattern of LaPmMoN4 (DFT lattice parameters and positions (PBE); a wavelength of 1.5418 Å).
No peak broadening, texture or thermal motion is included.

Cell lengths 3.947, 3.947, 12.811 Å; angles 90.00, 90.00, 90.00 degrees
Space group I4mm (No. 107)
Unique sites:
La  0.000  0.000  0.000 (multiplicity 2)
Pm  0.000  0.000  0.709 (multiplicity 2)
Mo  0.000  0.000  0.346 (multiplicity 2)
N  0.000  0.000  0.194 (multiplicity 2)
N  0.000  0.000  0.531 (multiplicity 2)
N  0.000  0.500  0.358 (multiplicity 4)

Largest 6 diffraction maxima, by intensity, 2θ from 5° to 70°:
| Position (°2θ) | I_rel | (hkl) |
| --- | --- | --- |
| 30.85 | 100.0 | 1 0 3 |
| 32.07 | 60.3 | 1 1 0 |
| 56.41 | 37.0 | 2 1 3 |
| 45.99 | 27.9 | 2 0 0 |
| 54.08 | 15.5 | 1 1 6 |
| 42.99 | 13.3 | 1 1 4 |

No. 8
Structure and computed X-ray powder pattern of Ce2Er3S8 (DFT lattice parameters and positions (PBE); a wavelength of 1.5418 Å).
No peak broadening, texture or thermal motion is included.

Cell lengths 7.057, 4.031, 12.950 Å; angles 90.00, 102.63, 90.00 degrees
Space group P2/m (No. 10)
Unique sites:
Ce  0.233  0.000  0.250 (multiplicity 2)
Er  0.257  0.500  0.734 (multiplicity 2)
Er  0.500  0.000  0.000 (multiplicity 1)
S  0.118  0.500  0.359 (multiplicity 2)
S  0.158  0.000  0.862 (multiplicity 2)
S  0.383  0.500  0.119 (multiplicity 2)
S  0.399  0.000  0.640 (multiplicity 2)

Largest 6 diffraction maxima, by intensity, 2θ from 5° to 70°:
| Position (°2θ) | I_rel | (hkl) |
| --- | --- | --- |
| 31.49 | 100.0 | 1 1 -3 |
| 14.02 | 75.4 | 0 0 2 |
| 32.22 | 48.0 | 2 0 2 |
| 25.83 | 44.5 | 2 0 0 |
| 44.63 | 36.3 | 3 1 -1 |
| 27.33 | 35.0 | 1 1 1 |